# 1
Starting from a cell relaxed with GGA-PBE, the powder X-ray diffraction pattern of Er3US4 was computed for λ = 1.5418 Å (Cu Kα).

The 12 most intense peaks (5 to 70 degrees two-theta), low angle first:
- 6.94°, rel. 6
- 28.02°, rel. 23
- 28.38°, rel. 68
- 32.78°, rel. 100
- 46.81°, rel. 37
- 47.27°, rel. 36
- 55.44°, rel. 11
- 55.85°, rel. 22
- 56.06°, rel. 11
- 57.92°, rel. 7
- 58.72°, rel. 19
- 68.72°, rel. 12

Structure:
```
data_Er3US4
_chemical_formula_sum 'Er3 U1 S4'
_space_group_name_H-M_alt 'P 1'
_space_group_IT_number 1
_cell_length_a 12.9288
_cell_length_b 12.9288
_cell_length_c 12.9288
_cell_angle_alpha 17.11
_cell_angle_beta 17.11
_cell_angle_gamma 17.11
loop_
_space_group_symop_operation_xyz
'x,y,z'
loop_
_atom_site_label
_atom_site_type_symbol
_atom_site_fract_x
_atom_site_fract_y
_atom_site_fract_z
Er1 Er 0.0000 0.0000 0.0000
Er2 Er 0.2491 0.2491 0.2491
Er3 Er 0.7509 0.7509 0.7509
U1 U 0.5000 0.5000 0.5000
S1 S 0.1241 0.1241 0.1241
S2 S 0.3748 0.3748 0.3748
S3 S 0.6252 0.6252 0.6252
S4 S 0.8759 0.8759 0.8759
```

=====

# 2
Starting from a cell relaxed with GGA-PBE, the powder X-ray diffraction pattern of YErS2 was computed for λ = 1.5418 Å (Cu Kα).

The 12 most intense peaks (5 to 70 degrees two-theta), low angle first:
- 18.63°, rel. 12
- 25.54°, rel. 20
- 26.96°, rel. 5
- 27.39°, rel. 70
- 30.29°, rel. 8
- 37.80°, rel. 100
- 48.42°, rel. 30
- 52.48°, rel. 8
- 55.53°, rel. 15
- 56.52°, rel. 9
- 60.20°, rel. 16
- 63.01°, rel. 22

Structure:
```
data_YErS2
_chemical_formula_sum 'Y2 Er2 S4'
_space_group_name_H-M_alt 'P 1'
_space_group_IT_number 1
_cell_length_a 6.5198
_cell_length_b 6.9742
_cell_length_c 3.7562
_cell_angle_alpha 90.00
_cell_angle_beta 90.00
_cell_angle_gamma 90.00
loop_
_space_group_symop_operation_xyz
'x,y,z'
loop_
_atom_site_label
_atom_site_type_symbol
_atom_site_fract_x
_atom_site_fract_y
_atom_site_fract_z
Y1 Y 0.0000 0.0000 0.0000
Y2 Y 0.5000 0.5000 0.5000
Er1 Er 0.0000 0.5000 0.0000
Er2 Er 0.5000 0.0000 0.5000
S1 S 0.1668 0.2519 0.5000
S2 S 0.3332 0.7519 0.0000
S3 S 0.6668 0.2481 0.0000
S4 S 0.8332 0.7481 0.5000
```

=====

# 3
Starting from a cell relaxed with GGA-PBE, the powder X-ray diffraction pattern of YErS3 was computed for λ = 1.5418 Å (Cu Kα).

The 12 most intense peaks (5 to 70 degrees two-theta), low angle first:
- 13.30°, rel. 14
- 17.78°, rel. 47
- 23.58°, rel. 72
- 26.81°, rel. 89
- 36.00°, rel. 34
- 38.25°, rel. 100
- 45.45°, rel. 33
- 47.35°, rel. 39
- 48.22°, rel. 22
- 55.23°, rel. 24
- 62.42°, rel. 26
- 63.17°, rel. 17

Structure:
```
data_YErS3
_chemical_formula_sum 'Y2 Er2 S6'
_space_group_name_H-M_alt 'P 1'
_space_group_IT_number 1
_cell_length_a 7.6869
_cell_length_b 7.6869
_cell_length_c 7.6869
_cell_angle_alpha 51.27
_cell_angle_beta 51.27
_cell_angle_gamma 51.27
loop_
_space_group_symop_operation_xyz
'x,y,z'
loop_
_atom_site_label
_atom_site_type_symbol
_atom_site_fract_x
_atom_site_fract_y
_atom_site_fract_z
Y1 Y 0.1522 0.1522 0.1522
Y2 Y 0.8478 0.8478 0.8478
Er1 Er 0.3461 0.3461 0.3461
Er2 Er 0.6539 0.6539 0.6539
S1 S 0.0506 0.4530 0.7454
S2 S 0.2546 0.5470 0.9494
S3 S 0.4530 0.7454 0.0506
S4 S 0.5470 0.9494 0.2546
S5 S 0.7454 0.0506 0.4530
S6 S 0.9494 0.2546 0.5470
```